[1]
Starting from a structure optimized by DFT (GGA-PBE), the PXRD pattern of DyAl6Cr6 was calculated for Cu Kα (weighted mean of Kα1 and Kα2).
Intensities are scaled so that the largest is 100.

Main lines, low angle first (10 to 90 degrees two-theta):
2θ (°), I (rel.)
14.29, 46.8
20.20, 27.2
28.75, 63.0
28.88, 26.1
40.90, 35.4
41.10, 57.6
41.27, 100.0
41.49, 27.9
59.49, 20.7
59.65, 20.8

Crystal structure
```
13
Lattice="-2.5320 4.3528 4.4133 2.5320 -4.3528 4.4133 2.5320 4.3528 -4.4133" Properties=species:S:1:pos:R:3 pbc="T T T"
Dy 0.0000 0.0000 0.0000
Al 2.5320 1.7155 0.0000
Al 0.0000 0.0000 2.9432
Al 0.0000 3.0201 0.0000
Al 0.0000 5.6856 0.0000
Al 0.0000 0.0000 5.8833
Al 0.0000 2.6373 4.4133
Cr 1.2660 2.1764 -2.2066
Cr 1.2660 -2.1764 2.2066
Cr 2.5320 0.0000 2.1134
Cr -1.2660 2.1764 2.2066
Cr 1.2660 2.1764 2.2066
Cr 0.0000 4.3528 2.2998
```

[2]
Starting from a structure optimized by DFT (GGA-PBE), the PXRD pattern of ErAl20Cr2 was calculated for Cu Kα (weighted mean of Kα1 and Kα2).
Intensities are scaled so that the largest is 100.

Main lines, low angle first (10 to 90 degrees two-theta):
2θ (°), I (rel.)
17.34, 64.9
20.36, 100.0
30.27, 29.7
35.10, 50.4
36.76, 97.4
39.40, 71.0
40.91, 91.6
41.41, 62.6
53.78, 44.3
74.17, 39.7

Crystal structure
```
46
Lattice="0.0000 7.2319 7.2319 7.2319 0.0000 7.2319 7.2319 7.2319 0.0000" Properties=species:S:1:pos:R:3 pbc="T T T"
Er 1.8080 1.8080 1.8080
Er 12.6559 12.6559 12.6559
Al 0.0000 0.0000 0.0000
Al 3.6160 3.6160 0.0000
Al 3.6160 0.0000 3.6160
Al 4.7037 2.7655 2.7655
Al 8.0823 6.1442 2.7655
Al 8.0823 2.7655 6.1442
Al 9.7602 6.3815 6.3815
Al 11.6983 8.3197 6.3815
Al 11.6983 6.3815 8.3197
Al 5.4239 5.4239 3.4290
Al 5.4239 3.4290 5.4239
Al 7.4189 5.4239 5.4239
Al 2.7655 4.7037 2.7655
Al 6.1442 8.0823 2.7655
Al 2.7655 2.7655 4.7037
Al 8.0823 8.0823 4.7037
Al 6.1442 2.7655 8.0823
Al 8.0823 4.7037 8.0823
Al 9.0399 9.0399 7.0449
Al 9.0399 7.0449 9.0399
Al 11.0349 9.0399 9.0399
Al 0.0000 3.6160 3.6160
Al 3.4290 5.4239 5.4239
Al 5.4239 7.4189 5.4239
Al 5.4239 5.4239 7.4189
Al 6.3815 9.7602 6.3815
Al 8.3197 11.6983 6.3815
Al 6.3815 6.3815 9.7602
Al 11.6983 11.6983 9.7602
Al 8.3197 6.3815 11.6983
Al 11.6983 9.7602 11.6983
Al 7.0449 9.0399 9.0399
Al 9.0399 11.0349 9.0399
Al 9.0399 9.0399 11.0349
Al 2.7655 8.0823 6.1442
Al 2.7655 6.1442 8.0823
Al 4.7037 8.0823 8.0823
Al 6.3815 11.6983 8.3197
Al 6.3815 8.3197 11.6983
Al 9.7602 11.6983 11.6983
Cr 7.2319 3.6160 3.6160
Cr 3.6160 7.2319 3.6160
Cr 3.6160 3.6160 7.2319
Cr 7.2319 7.2319 7.2319
```

[3]
Starting from a structure optimized by DFT (GGA-PBE), the PXRD pattern of AlCrFe2 was calculated for Cu Kα (weighted mean of Kα1 and Kα2).
Intensities are scaled so that the largest is 100.

Main lines, low angle first (10 to 90 degrees two-theta):
2θ (°), I (rel.)
15.48, 11.4
31.24, 2.5
31.70, 4.9
45.11, 100.0
45.44, 49.2
58.36, 2.2
65.17, 7.4
66.22, 14.5
83.02, 14.2
83.74, 28.4

Crystal structure
```
4
Lattice="2.8228 0.0000 0.0000 0.0000 2.8228 0.0000 0.0000 0.0000 5.7258" Properties=species:S:1:pos:R:3 pbc="T T T"
Al 0.0000 0.0000 0.0000
Cr 0.0000 0.0000 2.8629
Fe 1.4114 1.4114 1.4820
Fe 1.4114 1.4114 4.2438
```

[4]
Starting from a structure optimized by DFT (GGA-PBE), the PXRD pattern of AlCrFe2 was calculated for Cu Kα (weighted mean of Kα1 and Kα2).
Intensities are scaled so that the largest is 100.

Main lines, low angle first (10 to 90 degrees two-theta):
2θ (°), I (rel.)
27.24, 5.2
31.56, 5.0
45.24, 100.0
53.61, 1.9
56.20, 1.2
65.90, 14.7
72.70, 0.6
74.91, 1.3
83.54, 28.8

Crystal structure
```
16
Lattice="5.6695 0.0000 0.0000 0.0000 5.6695 0.0000 0.0000 0.0000 5.6695" Properties=species:S:1:pos:R:3 pbc="T T T"
Al 0.0000 0.0000 0.0000
Al 0.0000 2.8347 2.8347
Al 2.8347 0.0000 2.8347
Al 2.8347 2.8347 0.0000
Cr 0.0000 0.0000 2.8347
Cr 0.0000 2.8347 0.0000
Cr 2.8347 0.0000 0.0000
Cr 2.8347 2.8347 2.8347
Fe 1.4174 1.4174 1.4174
Fe 1.4174 1.4174 4.2521
Fe 1.4174 4.2521 1.4174
Fe 1.4174 4.2521 4.2521
Fe 4.2521 1.4174 1.4174
Fe 4.2521 1.4174 4.2521
Fe 4.2521 4.2521 1.4174
Fe 4.2521 4.2521 4.2521
```

[5]
Starting from a structure optimized by DFT (GGA-PBE), the PXRD pattern of AlCrFe2 was calculated for Cu Kα (weighted mean of Kα1 and Kα2).
Intensities are scaled so that the largest is 100.

Main lines, low angle first (10 to 90 degrees two-theta):
2θ (°), I (rel.)
11.13, 24.8
43.82, 100.0
44.42, 24.0
45.63, 21.8
61.80, 8.2
65.57, 13.4
79.23, 7.6
80.10, 7.2
81.38, 14.0
83.10, 12.9

Crystal structure
```
8
Lattice="3.0026 0.0000 0.0000 0.0000 4.0786 0.0000 0.0000 0.0000 7.9530" Properties=species:S:1:pos:R:3 pbc="T T T"
Al 0.0000 0.0000 0.0000
Al 1.5013 2.0393 0.0000
Cr 0.0000 2.0393 2.0754
Cr 1.5013 0.0000 2.0754
Fe 0.0000 0.0000 4.0122
Fe 0.0000 2.0393 5.9588
Fe 1.5013 0.0000 5.9588
Fe 1.5013 2.0393 4.0122
```